The following is a calculated powder diffraction line list of Y3Zn4Pd2. It was derived from a structure optimized by DFT (GGA-PBE), using Cu Kα.
Intensities are scaled so that the largest is 1000.

Main lines, in order of rising 2θ (2θ = 5–70°):
2theta  Rel. int.
25.5  129
33.9  322
34.4  753
34.9  1000
40.1  991
40.7  506
52.5  205
54.0  166
54.7  176
67.1  148
68.4  165
68.9  232

Cell and atoms:
abc: 5.7630 5.7630 8.4817
angles: 112.74 112.74 45.29
Positions (direct):
Y: 0.0000 0.0000 0.0000
Y: 0.3194 0.3194 0.3518
Y: 0.6806 0.6806 0.6482
Zn: 0.0316 0.0316 0.3718
Zn: 0.2806 0.2806 0.9495
Zn: 0.7194 0.7194 0.0505
Zn: 0.9684 0.9684 0.6282
Pd: 0.4037 0.4037 0.7364
Pd: 0.5963 0.5963 0.2636

The following is a calculated powder diffraction line list of Cd4Sb2SI. It was derived from a structure optimized by DFT (GGA-PBE), using Cu Kα.
Intensities are scaled so that the largest is 1000.

Main lines, in order of rising 2θ (2θ = 5–70°):
2theta  Rel. int.
22.8  798
24.4  132
25.1  1000
30.6  173
37.4  209
39.2  893
43.2  174
44.7  252
45.6  279
49.4  170
63.9  146
68.7  124

Cell and atoms:
abc: 8.2579 7.9150 6.3729
angles: 69.66 63.99 46.35
Positions (direct):
Cd: 0.0336 0.4804 0.9664
Cd: 0.2039 0.7961 0.2039
Cd: 0.4804 0.0336 0.5196
Cd: 0.7961 0.2039 0.7961
Sb: 0.3626 0.3626 0.1374
Sb: 0.8626 0.8626 0.6374
S: 0.1217 0.1217 0.8783
I: 0.6104 0.6104 0.3896